(1)
Diffraction record for Tm8Th. The PXRD pattern is theoretical, not measured: it uses a GGA-PBE-relaxed structure and Cu Kα, 1.54184 Å.
Neutral-atom scattering factors, no anomalous dispersion.

Cell and atoms:
```
Tm8Th
1.0
-5.2542 5.2542 2.4800
5.2542 -5.2542 2.4800
5.2542 5.2542 -2.4800
Tm Th
8 1
Direct
0.0000 0.3325 0.3325
0.0000 0.6675 0.6675
0.3325 0.0000 0.3325
0.3350 0.3350 0.6700
0.3350 0.6650 0.0000
0.6650 0.3350 0.0000
0.6650 0.6650 0.3300
0.6675 0.0000 0.6675
0.0000 0.0000 0.0000
```

Main lines, sorted by position (2θ = 10–90°):
2θ/deg  d (Å)  I (rel.)
31.3  2.861  100
36.3  2.478  51
52.2  1.752  36
62.1  1.494  43
65.2  1.431  12
85.4  1.137  18
88.1  1.108  11
88.2  1.108  6



(2)
Diffraction record for Tm3Th4. The PXRD pattern is theoretical, not measured: it uses a GGA-PBE-relaxed structure and Cu Kα, 1.54184 Å.
Neutral-atom scattering factors, no anomalous dispersion.

Cell and atoms:
```
Tm3Th4
1.0
12.2927 0.0000 0.0000
-6.1463 10.6458 0.0000
0.0000 0.0000 3.6138
Tm Th
6 8
Direct
0.0922 0.4763 0.2500
0.3842 0.9078 0.2500
0.4763 0.3842 0.7500
0.5237 0.6158 0.2500
0.6158 0.0922 0.7500
0.9078 0.5237 0.7500
0.0744 0.7936 0.2500
0.2064 0.2808 0.2500
0.2808 0.0744 0.7500
0.3333 0.6667 0.7500
0.6667 0.3333 0.2500
0.7192 0.9256 0.2500
0.7936 0.7192 0.7500
0.9256 0.2064 0.7500
```

Main lines, sorted by position (2θ = 10–90°):
2θ/deg  d (Å)  I (rel.)
22.1  4.024  39
29.9  2.990  77
30.3  2.953  74
33.3  2.689  100
35.5  2.532  31
36.8  2.442  29
38.8  2.323  25
60.0  1.541  27



(3)
Diffraction record for Tm3Th2. The PXRD pattern is theoretical, not measured: it uses a GGA-PBE-relaxed structure and Cu Kα, 1.54184 Å.
Neutral-atom scattering factors, no anomalous dispersion.

Cell and atoms:
```
Tm3Th2
1.0
4.9638 0.0000 0.0000
-0.0005 7.0642 0.0000
-2.4802 -1.6976 8.8616
Tm Th
6 4
Direct
0.1001 0.0451 0.2005
0.1005 0.5519 0.2019
0.3001 0.6549 0.6005
0.6999 0.3451 0.3995
0.8995 0.4481 0.7981
0.8999 0.9549 0.7995
0.3007 0.1456 0.6013
0.4990 0.7501 0.0007
0.5010 0.2499 0.9993
0.6993 0.8544 0.3987
```

Main lines, sorted by position (2θ = 10–90°):
2θ/deg  d (Å)  I (rel.)
31.0  2.881  100
35.7  2.512  17
36.0  2.492  17
36.2  2.482  17
51.8  1.766  18
52.0  1.759  12
61.2  1.513  7
61.9  1.499  14



(4)
Diffraction record for TmTh7. The PXRD pattern is theoretical, not measured: it uses a GGA-PBE-relaxed structure and Cu Kα, 1.54184 Å.
Neutral-atom scattering factors, no anomalous dispersion.

Cell and atoms:
```
TmTh7
1.0
0.0000 5.0302 5.0302
5.0302 0.0000 5.0302
5.0302 5.0302 0.0000
Tm Th
1 7
Direct
0.0000 0.0000 0.0000
0.0000 0.0000 0.5000
0.0000 0.5000 0.0000
0.0000 0.5000 0.5000
0.5000 0.0000 0.0000
0.5000 0.0000 0.5000
0.5000 0.5000 0.0000
0.5000 0.5000 0.5000
```

Main lines, sorted by position (2θ = 10–90°):
2θ/deg  d (Å)  I (rel.)
30.8  2.904  100
35.7  2.515  51
51.4  1.778  37
61.1  1.517  45
64.1  1.452  13
75.6  1.258  6
83.8  1.154  19
86.5  1.125  18



(5)
Diffraction record for Tm3Th5. The PXRD pattern is theoretical, not measured: it uses a GGA-PBE-relaxed structure and Cu Kα, 1.54184 Å.
Neutral-atom scattering factors, no anomalous dispersion.

Cell and atoms:
```
Tm3Th5
1.0
3.5479 0.0000 0.0000
0.0000 5.8409 0.0000
0.0000 0.0000 12.3156
Tm Th
3 5
Direct
0.0000 0.0000 0.0000
0.0000 0.5000 0.1637
0.5000 0.0000 0.2502
0.0000 0.0000 0.4990
0.0000 0.5000 0.6645
0.5000 0.0000 0.7485
0.5000 0.5000 0.4169
0.5000 0.5000 0.9138
```

Main lines, sorted by position (2θ = 10–90°):
2θ/deg  d (Å)  I (rel.)
29.0  3.076  23
30.6  2.920  27
32.9  2.721  100
42.7  2.118  17
51.5  1.776  19
55.9  1.645  23
61.1  1.517  23
62.5  1.486  11



(6)
Diffraction record for TmTh2. The PXRD pattern is theoretical, not measured: it uses a GGA-PBE-relaxed structure and Cu Kα, 1.54184 Å.
Neutral-atom scattering factors, no anomalous dispersion.

Cell and atoms:
```
TmTh2
1.0
7.1015 0.0000 0.0000
0.0000 4.9907 0.0000
0.0000 0.0000 10.7083
Tm Th
4 8
Direct
0.1228 0.2500 0.0835
0.3772 0.7500 0.5835
0.6228 0.2500 0.4165
0.8772 0.7500 0.9165
0.1244 0.2500 0.4168
0.1250 0.2500 0.7485
0.3750 0.7500 0.2485
0.3756 0.7500 0.9168
0.6244 0.2500 0.0832
0.6250 0.2500 0.7515
0.8750 0.7500 0.2515
0.8756 0.7500 0.5832
```

Main lines, sorted by position (2θ = 10–90°):
2θ/deg  d (Å)  I (rel.)
30.8  2.903  100
30.9  2.893  99
35.7  2.517  68
36.0  2.495  33
51.6  1.773  61
61.0  1.519  30
61.2  1.515  29
61.5  1.507  29



(7)
Diffraction record for TmTh3. The PXRD pattern is theoretical, not measured: it uses a GGA-PBE-relaxed structure and Cu Kα, 1.54184 Å.
Neutral-atom scattering factors, no anomalous dispersion.

Cell and atoms:
```
TmTh3
1.0
-1.7743 5.8713 3.0725
1.7743 -5.8713 3.0725
1.7743 5.8713 -3.0725
Tm Th
1 3
Direct
0.0000 0.0000 0.0000
0.4266 0.6789 0.7476
0.5094 0.0094 0.5000
0.9313 0.6789 0.2524
```

Main lines, sorted by position (2θ = 10–90°):
2θ/deg  d (Å)  I (rel.)
29.1  3.073  23
30.4  2.936  27
32.9  2.723  100
42.6  2.123  17
51.5  1.774  19
55.7  1.651  23
61.0  1.518  23
62.5  1.486  16



(8)
Diffraction record for Y3Tm8Th2. The PXRD pattern is theoretical, not measured: it uses a GGA-PBE-relaxed structure and Cu Kα, 1.54184 Å.
Neutral-atom scattering factors, no anomalous dispersion.

Cell and atoms:
```
Y3Tm8Th2
1.0
7.3084 0.0000 0.0000
0.0000 5.6081 0.0000
-3.6448 0.0000 10.3362
Y Tm Th
3 8 2
Direct
0.0000 0.0000 0.0000
0.2744 0.5000 0.9998
0.7256 0.5000 0.0002
0.1393 0.5000 0.2789
0.1698 0.0000 0.7784
0.3348 0.5000 0.6692
0.3917 0.0000 0.2213
0.6083 0.0000 0.7787
0.6652 0.5000 0.3308
0.8302 0.0000 0.2216
0.8607 0.5000 0.7211
0.2455 0.0000 0.4905
0.7545 0.0000 0.5095
```

Main lines, sorted by position (2θ = 10–90°):
2θ/deg  d (Å)  I (rel.)
25.9  3.445  24
29.5  3.029  15
30.4  2.936  41
31.9  2.804  40
34.0  2.634  100
41.5  2.175  14
58.2  1.584  22
61.2  1.514  15



(9)
Diffraction record for Y8Tm3Th. The PXRD pattern is theoretical, not measured: it uses a GGA-PBE-relaxed structure and Cu Kα, 1.54184 Å.
Neutral-atom scattering factors, no anomalous dispersion.

Cell and atoms:
```
Y8Tm3Th
1.0
3.5522 -5.0299 0.0000
3.5522 5.0299 0.0000
-0.0521 0.0000 10.6632
Y Tm Th
8 3 1
Direct
0.0002 0.0002 0.1640
0.9998 0.9998 0.8360
0.9999 0.4996 0.3349
0.0001 0.5004 0.6651
0.4996 0.9999 0.3349
0.5004 0.0001 0.6651
0.5000 0.5000 0.1667
0.5000 0.5000 0.8333
0.0000 0.0000 0.5000
0.0000 0.5000 0.0000
0.5000 0.0000 0.0000
0.5000 0.5000 0.5000
```

Main lines, sorted by position (2θ = 10–90°):
2θ/deg  d (Å)  I (rel.)
30.8  2.902  100
35.7  2.517  34
35.8  2.506  17
51.4  1.779  18
51.5  1.776  18
61.1  1.517  28
61.3  1.513  14
64.2  1.451  12



(10)
Diffraction record for Y3Tm7Th. The PXRD pattern is theoretical, not measured: it uses a GGA-PBE-relaxed structure and Cu Kα, 1.54184 Å.
Neutral-atom scattering factors, no anomalous dispersion.

Cell and atoms:
```
Y3Tm7Th
1.0
6.9685 0.0000 0.0000
-3.4842 6.0349 0.0000
0.0000 0.0000 8.6036
Y Tm Th
3 7 1
Direct
0.0018 0.5009 0.0000
0.4991 0.5009 0.0000
0.4991 0.9982 0.0000
0.1693 0.3385 0.6602
0.1693 0.8307 0.6602
0.3351 0.1675 0.3364
0.6615 0.8307 0.6602
0.6667 0.3333 0.6659
0.8325 0.1675 0.3364
0.8325 0.6649 0.3364
0.3333 0.6667 0.3366
```

Main lines, sorted by position (2θ = 10–90°):
2θ/deg  d (Å)  I (rel.)
10.3  8.604  30
31.2  2.868  32
31.4  2.847  100
36.4  2.470  69
52.2  1.751  23
52.5  1.742  22
62.1  1.495  15
62.4  1.489  27



(11)
Diffraction record for Y9Tm4Th. The PXRD pattern is theoretical, not measured: it uses a GGA-PBE-relaxed structure and Cu Kα, 1.54184 Å.
Neutral-atom scattering factors, no anomalous dispersion.

Cell and atoms:
```
Y9Tm4Th
1.0
9.7329 0.0000 0.0000
-4.8665 8.4290 0.0000
0.0000 0.0000 11.2382
Y Tm Th
18 8 2
Direct
0.0808 0.5404 0.2500
0.2084 0.4167 0.5297
0.2084 0.4167 0.9703
0.2084 0.7916 0.5297
0.2084 0.7916 0.9703
0.4167 0.2084 0.0297
0.4167 0.2084 0.4703
0.4596 0.5404 0.2500
0.4596 0.9192 0.2500
0.5404 0.0808 0.7500
0.5404 0.4596 0.7500
0.5833 0.7916 0.5297
0.5833 0.7916 0.9703
0.7916 0.2084 0.0297
0.7916 0.2084 0.4703
0.7916 0.5833 0.0297
0.7916 0.5833 0.4703
0.9192 0.4596 0.7500
0.0000 0.0000 0.0000
0.0000 0.0000 0.5000
0.1103 0.2206 0.2500
0.1103 0.8897 0.2500
0.2206 0.1103 0.7500
0.7794 0.8897 0.2500
0.8897 0.1103 0.7500
0.8897 0.7794 0.7500
0.3333 0.6667 0.7500
0.6667 0.3333 0.2500
```

Main lines, sorted by position (2θ = 10–90°):
2θ/deg  d (Å)  I (rel.)
22.5  3.946  27
31.9  2.810  34
32.0  2.800  30
32.3  2.771  100
32.9  2.726  38
56.8  1.622  21
57.0  1.615  29
66.6  1.404  28



(12)
Diffraction record for Y19Tm4Th6. The PXRD pattern is theoretical, not measured: it uses a GGA-PBE-relaxed structure and Cu Kα, 1.54184 Å.
Neutral-atom scattering factors, no anomalous dispersion.

Cell and atoms:
```
Y19Tm4Th6
1.0
-6.2382 6.2382 6.2382
6.2382 -6.2382 6.2382
6.2382 6.2382 -6.2382
Y Tm Th
19 4 6
Direct
0.0000 0.0000 0.0000
0.0000 0.2642 0.2642
0.0000 0.7358 0.7358
0.0195 0.2125 0.6751
0.1930 0.9805 0.6556
0.2125 0.6751 0.0195
0.2642 0.0000 0.2642
0.2642 0.2642 0.0000
0.3249 0.5374 0.3444
0.3444 0.3249 0.5374
0.4626 0.7875 0.8070
0.5374 0.3444 0.3249
0.6556 0.1930 0.9805
0.6751 0.0195 0.2125
0.7358 0.0000 0.7358
0.7358 0.7358 0.0000
0.7875 0.8070 0.4626
0.8070 0.4626 0.7875
0.9805 0.6556 0.1930
0.0000 0.0000 0.3553
0.0000 0.3553 0.0000
0.3553 0.0000 0.0000
0.6447 0.6447 0.6447
0.1287 0.5000 0.6287
0.3713 0.8713 0.5000
0.5000 0.3713 0.8713
0.5000 0.6287 0.1287
0.6287 0.1287 0.5000
0.8713 0.5000 0.3713
```

Main lines, sorted by position (2θ = 10–90°):
2θ/deg  d (Å)  I (rel.)
22.5  3.945  50
26.7  3.334  82
28.6  3.119  36
30.4  2.941  86
35.2  2.547  48
36.7  2.447  100
42.2  2.140  29
61.3  1.513  28